[1]
Structure and simulated powder diffraction line list of AlAs2Rh (a DFT-relaxed cell (PBE, Alexandria); Cu Ka).
Peak positions follow from Bragg's law for the DFT cell and can differ from measured ones.

Structure:
a = 4.091 Å, b = 4.091 Å, c = 7.820 Å
α = 90.00°, β = 90.00°, γ = 90.00°
Space group I-4m2 (No. 119)
Unique sites:
Al1 0.000 0.000 0.000 (multiplicity 2)
As1 0.000 0.000 0.500 (multiplicity 2)
As2 0.000 0.500 0.750 (multiplicity 2)
Rh1 0.000 0.500 0.250 (multiplicity 2)

The 10 most intense peaks (2θ from 15° to 90°), by angle:
d_spacing, Rel. int., h k l
3.910, 8, 0 0 2
3.625, 13, 1 0 1
2.325, 100, 1 1 2
2.045, 34, 2 0 0
1.955, 15, 0 0 4
1.446, 11, 2 2 0
1.413, 20, 2 0 4
1.228, 25, 3 1 2
1.188, 12, 1 1 6
1.163, 11, 2 2 4

[2]
Structure and simulated powder diffraction line list of Tb3AlAs2Rh9 (a DFT-relaxed cell (PBE, Alexandria); Cu Ka).
Peak positions follow from Bragg's law for the DFT cell and can differ from measured ones.

Structure:
a = 6.2433 Å, b = 6.2433 Å, c = 8.9710 Å
α = 90.00°, β = 90.00°, γ = 120.00°
Space group P-3m1 (No. 164)
Unique sites:
Tb1 0.0000 0.0000 0.0000 (multiplicity 1)
Tb2 0.3333 0.6667 0.7214 (multiplicity 2)
Al1 0.0000 0.0000 0.5000 (multiplicity 1)
As1 0.3333 0.6667 0.1753 (multiplicity 2)
Rh1 0.0000 0.5000 0.0000 (multiplicity 3)
Rh2 0.1407 0.2813 0.2774 (multiplicity 6)

The 10 most intense peaks (2θ from 15° to 90°), by angle:
d_spacing, Rel. int., h k l
4.485, 21, 0 0 2
2.990, 19, 0 0 3
2.588, 84, 0 2 1
2.315, 100, 2 0 2
2.243, 20, 0 0 4
2.005, 31, 2 0 3
1.726, 16, 0 2 4
1.561, 28, 2 2 0
1.495, 21, 0 2 5
1.281, 19, 0 0 7

- What is the formula in the second record?
  Tb3AlAs2Rh9

Repeat the second record exactly.
Structure and simulated powder diffraction line list of Tb3AlAs2Rh9 (a DFT-relaxed cell (PBE, Alexandria); Cu Ka).
Peak positions follow from Bragg's law for the DFT cell and can differ from measured ones.

Structure:
a = 6.2433 Å, b = 6.2433 Å, c = 8.9710 Å
α = 90.00°, β = 90.00°, γ = 120.00°
Space group P-3m1 (No. 164)
Unique sites:
Tb1 0.0000 0.0000 0.0000 (multiplicity 1)
Tb2 0.3333 0.6667 0.7214 (multiplicity 2)
Al1 0.0000 0.0000 0.5000 (multiplicity 1)
As1 0.3333 0.6667 0.1753 (multiplicity 2)
Rh1 0.0000 0.5000 0.0000 (multiplicity 3)
Rh2 0.1407 0.2813 0.2774 (multiplicity 6)

The 10 most intense peaks (2θ from 15° to 90°), by angle:
d_spacing, Rel. int., h k l
4.485, 21, 0 0 2
2.990, 19, 0 0 3
2.588, 84, 0 2 1
2.315, 100, 2 0 2
2.243, 20, 0 0 4
2.005, 31, 2 0 3
1.726, 16, 0 2 4
1.561, 28, 2 2 0
1.495, 21, 0 2 5
1.281, 19, 0 0 7